Record 1
TmRu2: simulated XRD peak list (Cu Ka), based on a GGA-PBE-relaxed structure.

Main lines, low angle first (10 to 90 degrees two-theta):
- 34.2 deg, intensity 47
- 36.3 deg, intensity 98
- 40.0 deg, intensity 100
- 41.0 deg, intensity 74
- 62.6 deg, intensity 36
- 66.9 deg, intensity 31

Structural model:
```
TmRu2
1.0
5.2421 0.0000 0.0000
-2.6211 4.5398 0.0000
0.0000 0.0000 8.8715
Tm Ru
4 8
Cartesian
0.0000 3.0266 0.5921
0.0000 3.0266 3.8437
2.6211 1.5133 5.0278
2.6211 1.5133 8.2794
0.0000 0.0000 0.0000
0.0000 0.0000 4.4357
0.0000 1.5557 6.6536
-1.2738 3.7620 6.6536
1.3472 0.7778 2.2179
1.2738 3.7620 6.6536
3.8949 0.7778 2.2179
2.6211 2.9842 2.2179
```



Record 2
K4ZrO4: simulated XRD peak list (Cu Ka), based on a GGA-PBE-relaxed structure.

Main lines, low angle first (10 to 90 degrees two-theta):
- 28.4 deg, intensity 100
- 28.9 deg, intensity 98
- 29.1 deg, intensity 86
- 29.3 deg, intensity 89
- 32.2 deg, intensity 99
- 33.1 deg, intensity 96

Structural model:
```
K4ZrO4
1.0
6.6486 0.0000 0.0000
2.6196 6.1436 0.0000
1.7593 2.6737 9.3989
K Zr O
8 2 8
Cartesian
2.8862 3.1444 1.1124
3.2275 3.0251 4.9496
4.6932 6.4980 3.1334
3.5074 2.5902 8.8447
7.5200 6.2270 0.5542
6.3343 2.3192 6.2655
7.7999 5.7922 4.4493
8.1413 5.6728 8.2865
4.8672 6.0159 7.0174
6.1603 2.8013 2.3815
3.8618 7.2284 8.2604
3.6143 5.6166 5.5095
5.4652 4.3814 8.0166
6.5171 7.0310 6.4874
4.5103 1.7862 2.9115
5.5623 4.4358 1.3822
7.4131 3.2007 3.8894
7.1657 1.5889 1.1385
```



Record 3
La2Zn6Ge3: simulated XRD peak list (Cu Ka), based on a GGA-PBE-relaxed structure.

Main lines, low angle first (10 to 90 degrees two-theta):
- 31.6 deg, intensity 100
- 35.4 deg, intensity 21
- 40.4 deg, intensity 33
- 41.7 deg, intensity 54
- 43.5 deg, intensity 25
- 67.9 deg, intensity 21

Structural model:
```
La2Zn6Ge3
1.0
7.7419 0.0000 0.0000
-3.8709 6.7046 0.0000
0.0000 0.0000 4.1637
La Zn Ge
2 6 3
Cartesian
0.0000 4.4698 0.0000
3.8709 2.2349 0.0000
-0.7299 1.2643 0.0000
-2.7533 4.7689 2.0819
1.4599 0.0000 0.0000
1.1176 1.9358 2.0819
5.5066 0.0000 2.0819
3.1410 5.4404 0.0000
-1.4693 2.5450 2.0819
2.9387 0.0000 2.0819
2.4016 4.1597 2.0819
```



Record 4
Bi20Pt3Br36: simulated XRD peak list (Cu Ka), based on a GGA-PBE-relaxed structure.

Main lines, low angle first (10 to 90 degrees two-theta):
- 10.5 deg, intensity 77
- 11.1 deg, intensity 100
- 28.8 deg, intensity 93
- 28.8 deg, intensity 45
- 36.7 deg, intensity 30
- 41.4 deg, intensity 30

Structural model:
```
Bi20Pt3Br36
1.0
8.4425 -7.9389 0.0000
8.4425 7.9389 0.0000
-7.0182 0.0000 17.3783
Bi Pt Br
20 3 36
Cartesian
1.4192 5.9323 13.2922
-1.9152 0.0000 6.9940
1.3537 1.9384 7.7148
-3.1630 0.0000 14.4414
8.4476 5.9323 4.0861
0.7317 1.9856 15.5804
3.2123 0.0000 4.9301
5.9080 0.0000 1.1011
1.3537 -1.9384 7.7148
9.1351 1.9856 1.7979
0.7317 -1.9856 15.5804
8.5131 1.9384 9.6635
3.9588 0.0000 16.2772
6.6545 0.0000 12.4482
9.1351 -1.9856 1.7979
1.4192 -5.9323 13.2922
13.0298 0.0000 2.9369
8.5131 -1.9384 9.6635
11.7820 0.0000 10.3843
8.4476 -5.9323 4.0861
0.6091 0.0000 5.8765
8.4425 0.0000 0.0000
9.2577 0.0000 11.5018
2.8704 5.8681 8.5425
-5.7880 0.0000 15.5175
5.2912 5.9172 4.7815
2.5242 2.0847 2.8163
0.8909 3.7779 11.5594
-2.2184 2.0355 16.4562
4.5756 5.9172 12.5968
8.4425 4.1337 0.0000
6.9964 5.8681 8.8357
4.0599 2.0898 6.7098
-0.3206 0.0000 13.4830
6.5236 2.0634 3.0202
2.5242 -2.0847 2.8163
2.0561 0.0000 9.7256
-2.2184 -2.0355 16.4562
3.3432 2.0634 14.3581
8.9759 3.7779 5.8188
5.8069 2.0898 10.6685
4.0599 -2.0898 6.7098
0.8909 -3.7779 11.5594
6.5236 -2.0634 3.0202
12.0852 2.0355 0.9220
7.8107 0.0000 7.6527
7.3426 2.0847 14.5620
3.3432 -2.0634 14.3581
10.1874 0.0000 3.8953
5.8069 -2.0898 10.6685
2.8704 -5.8681 8.5425
8.4425 -4.1337 0.0000
5.2912 -5.9172 4.7815
12.0852 -2.0355 0.9220
8.9759 -3.7779 5.8188
7.3426 -2.0847 14.5620
4.5756 -5.9172 12.5968
15.6549 0.0000 1.8608
6.9964 -5.8681 8.8357
```



Record 5
Na3Zr: simulated XRD peak list (Cu Ka), based on a GGA-PBE-relaxed structure.

Main lines, low angle first (10 to 90 degrees two-theta):
- 18.2 deg, intensity 52
- 25.8 deg, intensity 44
- 31.7 deg, intensity 100
- 36.8 deg, intensity 50
- 53.0 deg, intensity 33
- 63.1 deg, intensity 37

Structural model:
```
Na3Zr
1.0
4.8840 0.0000 0.0000
0.0000 4.8840 0.0000
0.0000 0.0000 4.8840
Na Zr
3 1
Cartesian
0.0000 0.0000 2.4420
0.0000 2.4420 0.0000
2.4420 0.0000 0.0000
2.4420 2.4420 2.4420
```